Theoretical X-ray powder pattern of Bi3Pd4Se2 for a wavelength of 1.5418 Å, from a crystal structure in Alexandria, relaxed with GGA-PBE.
Kinematic intensities with the Lorentz-polarization factor, no thermal factor.

```
data_Bi3Pd4Se2
_cell_length_a 12.938
_cell_length_b 9.509
_cell_length_c 6.623
_cell_angle_alpha 90.00
_cell_angle_beta 97.88
_cell_angle_gamma 90.00
_space_group_name_H-M_alt 'C 1 2/c 1'
_space_group_IT_number 15
_space_group_name_Hall '-C 2yc'
loop_
_atom_site_label
_atom_site_fract_x
_atom_site_fract_y
_atom_site_fract_z
_atom_site_occupancy
Bi1 0.000 0.042 0.250 1
Bi2 0.088 0.389 0.946 1
Pd1 0.104 0.303 0.359 1
Pd2 0.172 0.126 0.014 1
Se1 0.203 0.131 0.639 1
```

Most intense lines, 2θ = 10–90°, in order of rising 2θ:
2theta  d [Å]  I_rel  index
18.54  4.787  36.4  1 1 1
26.02  3.424  52.5  2 2 -1
28.82  3.097  37.6  2 0 -2
29.02  3.077  37.4  1 3 0
30.53  2.928  97.6  1 1 2
36.30  2.475  100.0  5 1 0
36.41  2.467  75.9  4 0 -2
37.99  2.369  53.1  3 1 2
38.98  2.310  62.8  3 3 1
42.04  2.149  37.7  1 1 -3